# CrGaTcO6
Computed PXRD pattern, Cu Kα X-rays. Input: DFT lattice parameters and positions (GGA+U).
Intensities are scaled so that the largest is 1000.

Main lines, low angle first (5 to 70 degrees two-theta):
2θ = 27.4°, d = 3.250 Å, I 1000, hkl 1 1 0
2θ = 35.4°, d = 2.533 Å, I 667, hkl 1 0 3
2θ = 39.2°, d = 2.298 Å, I 152, hkl 2 0 0
2θ = 53.9°, d = 1.702 Å, I 625, hkl 2 1 3
2θ = 56.6°, d = 1.625 Å, I 167, hkl 2 2 0
2θ = 68.6°, d = 1.368 Å, I 199, hkl 3 0 3

Structural model:
```
18
Lattice="4.5968 0.0000 0.0000 0.0000 4.5968 0.0000 0.0000 0.0000 9.1041" Properties=species:S:1:pos:R:3 pbc="T T T"
Cr 0.0000 0.0000 0.0000
Cr 2.2984 2.2984 4.5520
Ga 0.0000 0.0000 3.0161
Ga 2.2984 2.2984 7.5681
Tc 0.0000 0.0000 6.0604
Tc 2.2984 2.2984 1.5084
O 0.8880 0.8880 4.5743
O 0.8911 0.8911 7.5344
O 0.9337 0.9337 1.5113
O 1.3648 3.2321 6.0633
O 1.4073 3.1895 2.9824
O 1.4104 3.1864 0.0223
O 3.1864 1.4104 0.0223
O 3.1895 1.4073 2.9824
O 3.2321 1.3648 6.0633
O 3.6632 3.6632 1.5113
O 3.7057 3.7057 7.5344
O 3.7088 3.7088 4.5743
```